Diffraction record for TbDy2Pd3. The XRD peak list is calculated, not measured: it uses a DFT-relaxed cell (GGA-PBE, Alexandria) and Cu Ka.

```
TbDy2Pd3
1.0
5.020 0.000 0.000
0.000 15.057 0.000
0.000 0.000 3.438
Tb Dy Pd
2 4 6
Direct
0.250 0.250 0.001
0.750 0.750 0.999
0.250 0.583 0.000
0.250 0.917 0.000
0.750 0.083 0.000
0.750 0.417 0.000
0.250 0.082 0.500
0.250 0.418 0.500
0.250 0.750 0.499
0.750 0.250 0.501
0.750 0.582 0.500
0.750 0.918 0.500
```

Peak list (6 most intense, 15° ≤ 2θ ≤ 90°, in order of falling intensity)
2θ/deg	I_rel
36.4	100
35.8	52
64.7	37
51.5	18
65.9	17
77.3	11

***

Diffraction record for PbN2. The XRD peak list is calculated, not measured: it uses a DFT-relaxed cell (GGA-PBE, Alexandria) and Cu Ka.

```
PbN2
1.0
3.298 0.000 0.000
-1.610 2.946 0.000
-0.082 -1.758 9.941
Pb N
1 2
Direct
0.000 0.000 0.000
0.499 0.962 0.445
0.524 0.052 0.557
```

Peak list (6 most intense, 15° ≤ 2θ ≤ 90°, in order of falling intensity)
2θ/deg	I_rel
17.8	100
30.8	28
31.5	26
26.9	26
31.9	26
32.9	23

***

Diffraction record for CeTm6In2. The XRD peak list is calculated, not measured: it uses a DFT-relaxed cell (GGA-PBE, Alexandria) and Cu Ka.

```
CeTm6In2
1.0
-2.785 2.785 10.289
2.785 -2.785 10.289
2.785 2.785 -10.289
Ce Tm In
1 6 2
Direct
0.000 0.000 0.000
0.241 0.629 0.000
0.250 0.750 0.500
0.371 0.371 0.612
0.629 0.241 0.000
0.750 0.250 0.500
0.759 0.759 0.388
0.310 0.310 0.000
0.690 0.690 0.000
```

Peak list (6 most intense, 15° ≤ 2θ ≤ 90°, in order of falling intensity)
2θ/deg	I_rel
24.2	100
28.5	81
33.3	72
38.4	60
34.7	58
20.5	36

***

Please write out number 3 again, unchanged.
Diffraction record for CeTm6In2. The XRD peak list is calculated, not measured: it uses a DFT-relaxed cell (GGA-PBE, Alexandria) and Cu Ka.

```
CeTm6In2
1.0
-2.785 2.785 10.289
2.785 -2.785 10.289
2.785 2.785 -10.289
Ce Tm In
1 6 2
Direct
0.000 0.000 0.000
0.241 0.629 0.000
0.250 0.750 0.500
0.371 0.371 0.612
0.629 0.241 0.000
0.750 0.250 0.500
0.759 0.759 0.388
0.310 0.310 0.000
0.690 0.690 0.000
```

Peak list (6 most intense, 15° ≤ 2θ ≤ 90°, in order of falling intensity)
2θ/deg	I_rel
24.2	100
28.5	81
33.3	72
38.4	60
34.7	58
20.5	36